Theoretical X-ray diffraction stick pattern
Compound: K4CdAsP
Radiation: Cu Kα (weighted mean of Kα1 and Kα2)
Structure: a PBE-relaxed structure

Main lines, in order of falling intensity (2θ from 10° to 90°):
d (Å)	Position (°2θ)	Rel. int.	index
2.869	31.18	100	1 1 0
4.890	18.14	70	1 0 1
2.415	37.22	48	1 0 10
3.695	24.08	39	0 1 5
4.676	18.98	30	0 1 2
1.553	59.51	22	2 1 10
1.848	49.32	20	0 2 10
1.656	55.48	17	3 0 0
2.474	36.31	12	0 2 1
1.874	48.59	10	2 1 1

Cell and atoms:
Lattice parameters (Å, degrees): 5.7375 5.7375 27.6398 90.00 90.00 120.00
Space group R3m (No. 160, hexagonal axes)
Symmetry-distinct sites (fractional):
K (0.0000, 0.0000, 0.0000) (multiplicity 3)
K (0.0000, 0.0000, 0.1825) (multiplicity 3)
K (0.0000, 0.0000, 0.3975) (multiplicity 3)
K (0.0000, 0.0000, 0.5840) (multiplicity 3)
Cd (0.0000, 0.0000, 0.7888) (multiplicity 3)
As (0.0000, 0.0000, 0.8797) (multiplicity 3)
P (0.0000, 0.0000, 0.7014) (multiplicity 3)